Computed X-ray powder pattern of Nd2NiAs4Rh3 for a wavelength of 1.5418 Å, from a GGA-PBE-relaxed structure.

Crystal structure
```
Nd2NiAs4Rh3
1.0
4.3072 0.0000 0.0000
0.0000 4.3072 0.0000
0.0000 0.0000 9.8827
Nd Ni As Rh
2 1 4 3
Cartesian
0.0000 2.1536 2.4554
2.1536 0.0000 7.4273
2.1536 2.1536 0.0000
0.0000 0.0000 4.9413
0.0000 2.1536 8.6099
2.1536 0.0000 1.2727
2.1536 2.1536 4.9413
0.0000 0.0000 0.0000
0.0000 2.1536 6.1538
2.1536 0.0000 3.7288
```

Top 8 peaks for 10° ≤ 2θ ≤ 90°, low angle first:
2θ (°)  I/Imax
34.3  81
34.6  100
42.0  74
50.8  27
55.2  41
60.8  24
68.0  22
71.9  23

---

Computed X-ray powder pattern of KSb4Ru for a wavelength of 1.5418 Å, from a GGA-PBE-relaxed structure.

Crystal structure
```
KSb4Ru
1.0
0.0000 4.4236 4.4236
4.4236 0.0000 4.4236
4.4236 4.4236 0.0000
K Sb Ru
1 4 1
Cartesian
0.0000 0.0000 0.0000
3.3216 3.3216 3.3216
5.5255 5.5255 3.3216
5.5255 3.3216 5.5255
3.3216 5.5255 5.5255
6.6354 6.6354 6.6354
```

Top 8 peaks for 10° ≤ 2θ ≤ 90°, low angle first:
2θ (°)  I/Imax
17.4  30
33.6  100
35.1  58
40.8  14
53.8  34
59.1  31
70.6  22
84.0  21

---

Computed X-ray powder pattern of Zr2Si4Pd3 for a wavelength of 1.5418 Å, from a GGA-PBE-relaxed structure.

Crystal structure
```
Zr2Si4Pd3
1.0
2.7466 -7.2471 0.0000
2.7466 7.2471 0.0000
0.0000 0.0000 7.1465
Zr Si Pd
4 8 6
Cartesian
2.7466 5.8165 6.4608
2.7466 1.4306 2.8876
2.7466 -1.4306 4.2589
2.7466 -5.8165 0.6857
2.7466 4.6703 3.7828
1.3733 0.8843 5.3599
1.3733 -0.8843 1.7866
2.7466 2.5768 0.2096
2.7466 -2.5768 6.9369
4.1199 0.8843 5.3599
4.1199 -0.8843 1.7866
2.7466 -4.6703 3.3637
0.0000 0.0000 3.5732
1.3733 3.3032 5.3599
1.3733 -3.3032 1.7866
2.7466 0.0000 0.0000
4.1199 3.3032 5.3599
4.1199 -3.3032 1.7866
```

Top 8 peaks for 10° ≤ 2θ ≤ 90°, low angle first:
2θ (°)  I/Imax
27.6  24
27.8  53
34.9  38
35.3  32
37.2  100
39.8  25
41.5  64
48.8  26

---

Computed X-ray powder pattern of AlBi2Pd6 for a wavelength of 1.5418 Å, from a GGA-PBE-relaxed structure.

Crystal structure
```
AlBi2Pd6
1.0
6.8300 -3.7181 0.0000
6.8300 3.7181 0.0000
-0.9043 0.0000 3.4106
Al Bi Pd
1 2 6
Cartesian
0.0000 0.0000 0.0000
4.3973 0.0000 1.1754
8.3584 0.0000 2.2352
3.8249 2.2432 2.8494
6.3778 1.9648 1.7053
8.9308 2.2432 0.5612
3.8249 -2.2432 2.8494
6.3778 -1.9648 1.7053
8.9308 -2.2432 0.5612
```

Top 8 peaks for 10° ≤ 2θ ≤ 90°, low angle first:
2θ (°)  I/Imax
23.5  20
28.0  44
39.3  15
40.8  100
41.0  28
41.8  26
50.4  15
51.8  15

---

Computed X-ray powder pattern of Y2ZnGa2Ni5 for a wavelength of 1.5418 Å, from a GGA-PBE-relaxed structure.

Crystal structure
```
Y2ZnGa2Ni5
1.0
9.6087 0.0000 0.0000
0.0000 9.6087 0.0000
0.0000 0.0000 3.3700
Y Zn Ga Ni
4 2 4 10
Cartesian
1.6909 3.1135 0.0000
3.1135 7.9179 0.0000
6.4952 1.6909 0.0000
7.9179 6.4952 0.0000
0.0000 0.0000 0.0000
4.8044 4.8044 0.0000
1.1776 5.9820 0.0000
3.6268 1.1776 0.0000
5.9820 8.4311 0.0000
8.4311 3.6268 0.0000
0.0000 4.8044 1.6850
0.5288 7.6804 1.6850
1.9283 0.5288 1.6850
2.8760 5.3332 1.6850
4.2755 2.8760 1.6850
4.8044 0.0000 1.6850
5.3332 6.7327 1.6850
6.7327 4.2755 1.6850
7.6804 9.0799 1.6850
9.0799 1.9283 1.6850
```

Top 8 peaks for 10° ≤ 2θ ≤ 90°, low angle first:
2θ (°)  I/Imax
37.6  24
38.6  43
39.8  22
40.0  100
43.3  37
46.4  16
54.5  19
68.7  15

---

Computed X-ray powder pattern of Ca19Ag8N7 for a wavelength of 1.5418 Å, from a GGA-PBE-relaxed structure.

Crystal structure
```
Ca19Ag8N7
1.0
0.0000 7.2939 7.2939
7.2939 0.0000 7.2939
7.2939 7.2939 0.0000
Ca Ag N
19 8 7
Cartesian
0.0000 0.0000 0.0000
2.4016 2.4016 0.0000
4.8923 4.8923 0.0000
2.4016 0.0000 2.4016
7.2939 4.8923 2.4016
4.8923 0.0000 4.8923
7.2939 2.4016 4.8923
0.0000 2.4016 2.4016
4.8923 7.2939 2.4016
4.8923 2.4016 7.2939
7.2939 7.2939 4.8849
7.2939 4.8849 7.2939
9.7029 7.2939 7.2939
4.8849 7.2939 7.2939
7.2939 9.7029 7.2939
7.2939 7.2939 9.7029
0.0000 4.8923 4.8923
2.4016 7.2939 4.8923
2.4016 4.8923 7.2939
4.7238 2.5700 2.5700
2.5700 4.7238 2.5700
2.5700 2.5700 4.7238
4.7238 4.7238 4.7238
9.8639 9.8639 9.8639
12.0177 12.0177 9.8639
12.0177 9.8639 12.0177
9.8639 12.0177 12.0177
7.2939 7.2939 2.5396
7.2939 2.5396 7.2939
12.0481 7.2939 7.2939
7.2939 7.2939 7.2939
2.5396 7.2939 7.2939
7.2939 12.0481 7.2939
7.2939 7.2939 12.0481
```

Top 8 peaks for 10° ≤ 2θ ≤ 90°, low angle first:
2θ (°)  I/Imax
12.1  24
17.2  18
26.6  15
31.9  100
37.0  61
40.6  15
53.3  38
63.4  32

---

Computed X-ray powder pattern of ZrV2Se for a wavelength of 1.5418 Å, from a GGA-PBE-relaxed structure.

Crystal structure
```
ZrV2Se
1.0
7.5228 0.0000 0.0000
0.0000 7.5228 0.0000
0.0000 0.0000 5.1544
Zr V Se
4 8 4
Cartesian
0.0000 0.0000 0.0000
0.0000 3.7614 1.2886
3.7614 0.0000 3.8658
3.7614 3.7614 2.5772
1.3501 1.8807 3.2215
1.8807 5.1115 4.5101
1.8807 6.1727 1.9329
2.4113 1.8807 0.6443
5.1115 5.6421 0.6443
5.6421 1.3501 1.9329
5.6421 2.4113 4.5101
6.1727 5.6421 3.2215
0.0000 0.0000 2.5772
0.0000 3.7614 3.8658
3.7614 0.0000 1.2886
3.7614 3.7614 0.0000
```

Top 8 peaks for 10° ≤ 2θ ≤ 90°, low angle first:
2θ (°)  I/Imax
23.7  36
31.8  21
33.7  100
38.8  91
48.4  28
52.3  65
54.6  20
74.0  21

---

Computed X-ray powder pattern of Na2Ga7Ag12 for a wavelength of 1.5418 Å, from a GGA-PBE-relaxed structure.

Crystal structure
```
Na2Ga7Ag12
1.0
12.1164 0.0000 0.0000
-6.0582 10.4931 0.0000
0.0000 0.0000 2.9965
Na Ga Ag
2 7 12
Cartesian
0.0000 6.9954 0.7501
6.0582 3.4977 2.2464
0.0000 0.0000 1.4982
-2.6918 7.4869 2.2404
0.9203 4.4185 2.2404
4.2866 1.4122 0.7560
1.7715 9.0808 2.2404
5.1379 6.0746 0.7560
8.7500 3.0062 0.7560
-0.6163 2.5570 0.7449
-1.7939 4.8703 2.2544
-3.5356 9.7483 0.7449
1.9063 1.8122 2.2516
-0.9434 9.6115 2.2544
3.3208 3.9887 0.7421
2.7374 6.5043 2.2544
7.0016 0.8815 0.7421
4.1519 8.6808 0.7449
9.5938 0.7448 2.2516
7.8521 5.6228 0.7421
6.6745 7.9361 2.2516
```

Top 8 peaks for 10° ≤ 2θ ≤ 90°, low angle first:
2θ (°)  I/Imax
14.6  18
37.6  97
39.3  100
43.3  15
55.6  25
70.2  27
71.3  12
75.9  24